Structure and computed X-ray powder pattern of EuAgP (a GGA-PBE-relaxed structure; CuKα).
Kinematic intensities with the Lorentz-polarization factor, no thermal factor.

Principal peaks in the range 2θ from 10° to 90°, sorted by position:
- d 3.817, intensity 140
- d 3.449, intensity 174
- d 2.769, intensity 1000
- d 2.204, intensity 450
- d 2.011, intensity 113
- d 1.724, intensity 239
- d 1.485, intensity 249
- d 1.358, intensity 215
- d 1.272, intensity 74
- d 1.265, intensity 85

Crystal structure
Unit cell a=4.408 b=4.408 c=8.042 alpha=90.00 beta=90.00 gamma=120.00
Fractional positions:
Eu 0.000 0.000 0.000
Eu 0.000 0.000 0.500
Ag 0.333 0.667 0.250
Ag 0.667 0.333 0.750
P 0.333 0.667 0.750
P 0.667 0.333 0.250